Calculated PXRD pattern
Compound: Tb2PaN4
Radiation: CuKα
Structure: the GGA-PBE geometry in Alexandria
Kinematic intensities with the Lorentz-polarization factor, no thermal factor.

Cell: 5.913 9.827 3.588 Å, 90.00 90.00 90.00°
Positions (direct):
Tb 0.061 0.175 0.000
Tb 0.439 0.675 0.000
Tb 0.561 0.325 0.000
Tb 0.939 0.825 0.000
Pa 0.000 0.500 0.500
Pa 0.500 0.000 0.500
N 0.155 0.702 0.500
N 0.238 0.459 0.000
N 0.262 0.959 0.000
N 0.345 0.202 0.500
N 0.655 0.798 0.500
N 0.738 0.041 0.000
N 0.762 0.541 0.000
N 0.845 0.298 0.500

Largest 10 diffraction maxima, low angle first, 2θ = 5–70°:
| 2θ (°) | I (rel.) | index |
| --- | --- | --- |
| 17.5 | 14 | 1 1 0 |
| 30.2 | 34 | 2 0 0 |
| 30.5 | 100 | 1 1 1 |
| 30.9 | 49 | 0 2 1 |
| 31.2 | 92 | 1 3 0 |
| 40.6 | 17 | 2 1 1 |
| 43.7 | 44 | 2 2 1 |
| 50.9 | 16 | 0 0 2 |
| 55.5 | 29 | 1 5 1 |
| 60.9 | 28 | 1 3 2 |